For HoBe2Pt6, a PBE-relaxed structure gives the computed powder diffractogram in this record (Cu Kα X-rays).

Most intense lines, 10° ≤ 2θ ≤ 90°, sorted by position:
two_theta	Rel. int.
23.26	13
27.34	8
33.12	100
36.19	7
40.86	7
47.54	75
59.17	25
64.45	3
66.37	5
69.51	12
79.19	32
88.56	25

Crystal structure
a b c (Å): 10.8187 10.8187 10.8187
angles (deg): 90.00 90.00 90.00
Space group Fd-3m (No. 227, origin choice 2)
One atom of each set of equivalent atoms:
Ho1 0.1250 0.1250 0.1250
Be1 0.0000 0.0000 0.5000
Pt1 0.1155 0.3750 0.8750

For Ho3Be2Pt5, a PBE-relaxed structure gives the computed powder diffractogram in this record (Cu Kα X-rays).

Most intense lines, 10° ≤ 2θ ≤ 90°, sorted by position:
two_theta	Rel. int.
24.34	11
32.03	48
33.37	11
35.94	25
38.34	100
41.73	46
49.86	18
64.59	21
66.98	24
73.92	15
82.11	13
85.77	11

Crystal structure
a b c (Å): 9.6806 9.6806 3.6576
angles (deg): 90.00 90.00 90.00
Space group P4/mbm (No. 127)
One atom of each set of equivalent atoms:
Ho1 0.0000 0.0000 0.0000
Ho2 0.1770 0.3230 0.0000
Be1 0.1159 0.6159 0.0000
Pt1 0.0000 0.5000 0.5000
Pt2 0.0709 0.7777 0.5000

For HoBe4Pt12, a PBE-relaxed structure gives the computed powder diffractogram in this record (Cu Kα X-rays).

Most intense lines, 10° ≤ 2θ ≤ 90°, sorted by position:
two_theta	Rel. int.
31.41	7
35.24	100
38.73	10
41.97	52
53.35	6
55.92	10
58.42	16
67.85	22
70.10	17
72.31	12
80.95	19
85.19	7

Crystal structure
a b c (Å): 8.0546 8.0546 8.0546
angles (deg): 90.00 90.00 90.00
Space group Im-3 (No. 204)
One atom of each set of equivalent atoms:
Ho1 0.0000 0.0000 0.0000
Be1 0.2500 0.2500 0.2500
Pt1 0.0000 0.1668 0.3288